Entry 1:
Computed X-ray diffraction stick pattern
Compound: Th8Ni2Ru
Radiation: Cu Kα, 1.54184 Å
Structure: a cell relaxed with GGA-PBE

Top 6 peaks for 15° ≤ 2θ ≤ 90°, in order of falling intensity:
| 2theta | intensity |
| --- | --- |
| 30.31 | 100.0 |
| 29.88 | 76.7 |
| 37.65 | 75.1 |
| 31.22 | 65.4 |
| 32.53 | 58.9 |
| 34.36 | 55.9 |

Crystal structure
```
Th8Ni2Ru
1.0
4.0130 -6.6012 0.0000
4.0130 6.6012 0.0000
-2.1098 0.0000 5.7724
Th Ni Ru
8 2 1
direct
0.0000 0.0000 0.0000
0.0009 0.2573 0.5588
0.1262 0.5401 0.1703
0.2573 0.0009 0.5588
0.4658 0.7201 0.7921
0.5401 0.1262 0.1703
0.7167 0.7167 0.3618
0.7201 0.4658 0.7921
0.0852 0.6771 0.7124
0.6771 0.0852 0.7124
0.3645 0.3645 0.4027
```

Entry 2:
Computed X-ray diffraction stick pattern
Compound: NpBr4Cl
Radiation: Cu Kα, 1.54184 Å
Structure: a cell relaxed with GGA-PBE

Top 6 peaks for 15° ≤ 2θ ≤ 90°, in order of falling intensity:
| 2theta | intensity |
| --- | --- |
| 18.77 | 100.0 |
| 17.82 | 77.6 |
| 35.03 | 59.2 |
| 21.73 | 49.8 |
| 34.16 | 46.7 |
| 34.90 | 37.3 |

Crystal structure
```
NpBr4Cl
1.0
5.3305 0.0000 0.0000
0.0000 15.1823 0.0000
-2.6649 0.0000 6.9430
Np Br Cl
2 8 2
direct
0.0000 0.0000 0.0000
0.0000 0.5000 0.5000
0.1341 0.1248 0.2643
0.1341 0.3752 0.7643
0.1361 0.6210 0.7725
0.1361 0.8790 0.2725
0.8639 0.1210 0.7275
0.8639 0.3790 0.2275
0.8659 0.6248 0.2357
0.8659 0.8752 0.7357
0.5000 0.0000 0.0000
0.5000 0.5000 0.5000
```

Entry 3:
Computed X-ray diffraction stick pattern
Compound: CaNiBi
Radiation: Cu Kα, 1.54184 Å
Structure: a cell relaxed with GGA-PBE

Top 6 peaks for 15° ≤ 2θ ≤ 90°, in order of falling intensity:
| 2theta | intensity |
| --- | --- |
| 19.66 | 100.0 |
| 32.56 | 91.1 |
| 36.22 | 72.1 |
| 21.96 | 56.0 |
| 27.94 | 38.4 |
| 42.82 | 37.2 |

Crystal structure
```
CaNiBi
1.0
6.1565 -2.1463 0.0000
6.1565 2.1463 0.0000
-0.9739 0.0000 5.5928
Ca Ni Bi
2 2 2
direct
0.1283 0.1283 0.3073
0.8717 0.8717 0.6927
0.2194 0.2194 0.8800
0.7806 0.7806 0.1200
0.3991 0.3991 0.2222
0.6009 0.6009 0.7778
```

Entry 4:
Computed X-ray diffraction stick pattern
Compound: PrCd3Pt8
Radiation: Cu Kα, 1.54184 Å
Structure: a cell relaxed with GGA-PBE

Top 6 peaks for 15° ≤ 2θ ≤ 90°, in order of falling intensity:
| 2theta | intensity |
| --- | --- |
| 39.66 | 100.0 |
| 39.02 | 94.9 |
| 36.24 | 49.2 |
| 43.67 | 36.2 |
| 69.13 | 29.7 |
| 66.61 | 29.0 |

Crystal structure
```
PrCd3Pt8
1.0
5.4355 0.0000 0.0000
-2.7177 4.7072 0.0000
0.0000 0.0000 8.7469
Pr Cd Pt
1 3 8
direct
0.0000 0.0000 0.0000
0.0000 0.0000 0.3874
0.6667 0.3333 0.4787
0.6667 0.3333 0.8430
0.1647 0.3293 0.6763
0.1647 0.8353 0.6763
0.3333 0.6667 0.4261
0.3333 0.6667 0.9273
0.5028 0.0056 0.1788
0.5028 0.4972 0.1788
0.6707 0.8353 0.6763
0.9944 0.4972 0.1788
```

Entry 5:
Computed X-ray diffraction stick pattern
Compound: Mg6ZnPd5
Radiation: Cu Kα, 1.54184 Å
Structure: a cell relaxed with GGA-PBE

Top 6 peaks for 15° ≤ 2θ ≤ 90°, in order of falling intensity:
| 2theta | intensity |
| --- | --- |
| 40.02 | 100.0 |
| 39.49 | 34.8 |
| 39.37 | 34.6 |
| 27.52 | 33.1 |
| 40.28 | 32.7 |
| 27.68 | 32.4 |

Crystal structure
```
Mg6ZnPd5
1.0
4.5640 0.0000 0.0000
-0.0298 6.2665 0.0000
-2.2282 -3.1019 6.8659
Mg Zn Pd
6 1 5
direct
0.0000 0.2431 0.0002
0.0000 0.7569 0.9998
0.3294 0.5822 0.6577
0.3296 0.0751 0.6577
0.6704 0.9249 0.3423
0.6706 0.4178 0.3423
0.5000 0.5000 0.0000
0.1619 0.6624 0.3239
0.1635 0.1640 0.3288
0.5000 0.0000 0.0000
0.8365 0.8360 0.6712
0.8381 0.3376 0.6761
```

Entry 6:
Computed X-ray diffraction stick pattern
Compound: HgSbSe
Radiation: Cu Kα, 1.54184 Å
Structure: a cell relaxed with GGA-PBE

Top 6 peaks for 15° ≤ 2θ ≤ 90°, in order of falling intensity:
| 2theta | intensity |
| --- | --- |
| 32.82 | 100.0 |
| 27.22 | 44.7 |
| 51.77 | 27.6 |
| 22.84 | 20.4 |
| 49.88 | 19.4 |
| 28.41 | 17.5 |

Crystal structure
```
HgSbSe
1.0
0.0000 3.2756 7.7886
1.8392 0.0000 7.7886
1.8392 3.2756 0.0000
Hg Sb Se
1 1 1
direct
0.0000 0.0000 0.0000
0.3056 0.3056 0.6944
0.6853 0.6853 0.3147
```